This entry pairs a crystal structure of Al6ZnGa3 with its simulated powder XRD pattern. Radiation: CuKα. Structure: a structure optimized by DFT (GGA-PBE).
Lines closer than 0.1° are merged.

Peak list (10 most intense, 10 to 90 degrees two-theta, by intensity)
Position (°2θ), I/Imax
28.61, 100
38.33, 49
44.52, 29
46.38, 27
44.77, 26
36.00, 22
39.53, 20
45.33, 20
25.61, 19
44.27, 17

Crystal structure
```
Al6ZnGa3
1.0
4.174 -7.374 0.000
4.174 7.374 0.000
0.000 0.000 6.093
Al Zn Ga
12 2 6
Cartesian
4.174 6.951 3.047
2.734 3.182 6.017
4.174 3.862 2.875
2.738 0.278 5.929
2.738 -0.278 2.883
5.615 3.182 6.017
2.734 -3.182 2.971
5.611 0.278 5.929
5.611 -0.278 2.883
4.174 -3.862 5.921
5.615 -3.182 2.971
4.174 -6.951 0.000
4.174 5.220 5.017
4.174 -5.220 1.970
1.512 1.767 4.103
1.512 -1.767 1.057
4.174 1.608 1.622
4.174 -1.608 4.669
6.837 1.767 4.103
6.837 -1.767 1.057
```

This entry pairs a crystal structure of Al6ZnGa12 with its simulated powder XRD pattern. Radiation: CuKα. Structure: a structure optimized by DFT (GGA-PBE).
Lines closer than 0.1° are merged.

Peak list (10 most intense, 10 to 90 degrees two-theta, by intensity)
Position (°2θ), I/Imax
30.17, 100
43.52, 66
42.86, 66
38.19, 37
71.65, 25
41.69, 23
70.70, 19
53.86, 18
19.43, 18
44.97, 16

Crystal structure
```
Al6ZnGa12
1.0
5.502 3.177 3.471
-5.502 3.177 3.471
0.000 -6.353 3.471
Al Zn Ga
6 1 12
Cartesian
-1.597 -0.318 2.078
1.073 -1.224 2.078
0.523 1.541 2.078
-0.523 -1.541 8.336
-1.073 1.224 8.336
1.597 0.318 8.336
0.000 0.000 5.207
3.756 -1.259 7.544
-3.756 1.259 2.869
0.788 -3.882 2.869
-2.537 -0.520 4.564
-2.968 -2.623 7.544
-0.818 -2.457 5.850
1.719 -1.936 4.564
-1.719 1.936 5.850
0.818 2.457 4.564
2.968 2.623 2.869
2.537 0.520 5.850
-0.788 3.882 7.544
```

This entry pairs a crystal structure of AlZn2Ga3 with its simulated powder XRD pattern. Radiation: CuKα. Structure: a structure optimized by DFT (GGA-PBE).
Lines closer than 0.1° are merged.

Peak list (10 most intense, 10 to 90 degrees two-theta, by intensity)
Position (°2θ), I/Imax
40.35, 100
44.34, 61
28.27, 36
40.58, 28
47.59, 26
27.13, 25
21.01, 19
35.77, 17
50.01, 15
76.17, 15

Crystal structure
```
AlZn2Ga3
1.0
5.196 0.000 0.000
0.000 4.469 0.000
-1.570 0.000 9.469
Al Zn Ga
2 4 6
Cartesian
0.653 1.117 2.225
2.973 3.352 7.244
-1.041 1.117 8.988
1.882 3.352 3.850
1.744 1.117 5.619
4.667 3.352 0.481
-0.973 1.117 6.317
0.443 3.352 6.096
0.580 3.352 8.798
3.046 1.117 0.671
3.183 1.117 3.373
4.599 3.352 3.152
```

This entry pairs a crystal structure of Al2ZnGa8 with its simulated powder XRD pattern. Radiation: CuKα. Structure: a structure optimized by DFT (GGA-PBE).
Lines closer than 0.1° are merged.

Peak list (10 most intense, 10 to 90 degrees two-theta, by intensity)
Position (°2θ), I/Imax
39.51, 100
38.71, 56
70.60, 34
55.89, 19
72.21, 13
26.83, 11
21.27, 11
85.07, 8
27.10, 8
58.32, 6

Crystal structure
```
Al2ZnGa8
1.0
4.653 0.000 0.000
0.000 4.653 0.000
0.000 0.000 9.494
Al Zn Ga
2 1 8
Cartesian
0.000 0.000 1.564
0.000 0.000 7.930
0.000 0.000 4.747
0.000 2.326 0.000
0.000 2.326 3.328
0.000 2.326 6.165
2.326 0.000 0.000
2.326 0.000 3.328
2.326 0.000 6.165
2.326 2.326 1.715
2.326 2.326 7.779
```

This entry pairs a crystal structure of Zr2AlGa with its simulated powder XRD pattern. Radiation: CuKα. Structure: a structure optimized by DFT (GGA-PBE).
Lines closer than 0.1° are merged.

Peak list (10 most intense, 10 to 90 degrees two-theta, by intensity)
Position (°2θ), I/Imax
33.49, 100
41.82, 44
34.50, 38
67.64, 26
34.65, 26
41.95, 22
45.91, 22
46.81, 21
28.74, 21
59.43, 15

Crystal structure
```
Zr2AlGa
1.0
5.545 0.000 0.000
0.000 3.882 0.000
-2.714 0.000 7.382
Zr Al Ga
4 2 2
Cartesian
0.017 0.970 3.136
1.356 2.911 0.520
1.474 0.970 6.862
2.813 2.911 4.246
0.126 2.911 5.246
2.705 0.970 2.136
-1.414 0.970 5.842
4.244 2.911 1.540
```

This entry pairs a crystal structure of GdAl with its simulated powder XRD pattern. Radiation: CuKα. Structure: a structure optimized by DFT (GGA-PBE).
Lines closer than 0.1° are merged.

Peak list (10 most intense, 10 to 90 degrees two-theta, by intensity)
Position (°2θ), I/Imax
31.93, 100
24.83, 92
32.94, 61
36.30, 33
52.72, 32
49.82, 25
39.96, 23
30.20, 19
55.26, 17
62.09, 14

Crystal structure
```
GdAl
1.0
3.752 0.000 0.000
0.000 4.513 0.000
-1.871 0.000 5.919
Gd Al
2 2
Cartesian
-0.001 1.128 1.842
1.881 3.385 4.077
0.005 1.128 5.142
1.875 3.385 0.777
```

Copy entry 4 word for word.
This entry pairs a crystal structure of Al2ZnGa8 with its simulated powder XRD pattern. Radiation: CuKα. Structure: a structure optimized by DFT (GGA-PBE).
Lines closer than 0.1° are merged.

Peak list (10 most intense, 10 to 90 degrees two-theta, by intensity)
Position (°2θ), I/Imax
39.51, 100
38.71, 56
70.60, 34
55.89, 19
72.21, 13
26.83, 11
21.27, 11
85.07, 8
27.10, 8
58.32, 6

Crystal structure
```
Al2ZnGa8
1.0
4.653 0.000 0.000
0.000 4.653 0.000
0.000 0.000 9.494
Al Zn Ga
2 1 8
Cartesian
0.000 0.000 1.564
0.000 0.000 7.930
0.000 0.000 4.747
0.000 2.326 0.000
0.000 2.326 3.328
0.000 2.326 6.165
2.326 0.000 0.000
2.326 0.000 3.328
2.326 0.000 6.165
2.326 2.326 1.715
2.326 2.326 7.779
```